Record 1
For CaLu2Te4, a DFT-relaxed cell (GGA-PBE, Alexandria) gives the simulated X-ray powder pattern in this record (a wavelength of 1.5418 Å).
Peak positions follow from Bragg's law for the DFT cell and can differ from measured ones.

Top 10 peaks for 15 to 90 degrees two-theta, most intense first:
2θ = 28.64°, rel. 100, hkl 1 1 1
2θ = 29.23°, rel. 48, hkl 2 0 -2
2θ = 40.74°, rel. 38, hkl 1 1 -3
2θ = 42.02°, rel. 35, hkl 3 1 -1
2θ = 51.63°, rel. 29, hkl 2 2 -2
2θ = 40.32°, rel. 19, hkl 2 0 2
2θ = 41.57°, rel. 18, hkl 0 2 0
2θ = 24.03°, rel. 15, hkl 1 1 0
2θ = 59.29°, rel. 12, hkl 2 2 2
2θ = 76.17°, rel. 12, hkl 3 3 -1

Structural model:
Cell: 7.4256 4.3453 7.7301 Å, 90.00 107.59 90.00°
Space group P2/m (No. 10)
Symmetry-distinct sites (fractional):
Ca 0.0000 0.0000 0.0000 x1
Lu 0.0000 0.5000 0.5000 x1
Lu 0.5000 0.0000 0.5000 x1
Te 0.2443 0.0000 0.7333 x2
Te 0.2625 0.5000 0.2596 x2

---

Record 2
For AcIn2Ni, a DFT-relaxed cell (GGA-PBE, Alexandria) gives the simulated X-ray powder pattern in this record (a wavelength of 1.5418 Å).
Peak positions follow from Bragg's law for the DFT cell and can differ from measured ones.

Top 10 peaks for 15 to 90 degrees two-theta, most intense first:
2θ = 33.00°, rel. 100, hkl 0 4 1
2θ = 31.66°, rel. 92, hkl 1 1 2
2θ = 30.85°, rel. 49, hkl 1 3 0
2θ = 41.09°, rel. 43, hkl 2 0 0
2θ = 37.99°, rel. 27, hkl 0 2 3
2θ = 57.32°, rel. 23, hkl 1 5 3
2θ = 53.70°, rel. 21, hkl 2 4 1
2θ = 27.61°, rel. 21, hkl 0 2 2
2θ = 46.99°, rel. 18, hkl 1 3 3
2θ = 68.39°, rel. 18, hkl 0 4 5

Structural model:
Cell: 4.3947 11.5667 7.7885 Å, 90.00 90.00 90.00°
Space group Cmcm (No. 63)
Symmetry-distinct sites (fractional):
Ac 0.0000 0.0565 0.2500 x4
In 0.0000 0.3405 0.0555 x8
Ni 0.0000 0.2249 0.7500 x4